Entry 1:
For Sm5Y12Er, a structure optimized by DFT (PBE) gives the computed X-ray powder pattern in this record (CuKα).
Neutral-atom scattering factors, no anomalous dispersion.

Structure:
```
data_Sm5Y12Er
_cell_length_a 10.743
_cell_length_b 5.068
_cell_length_c 10.753
_cell_angle_alpha 90.00
_cell_angle_beta 90.10
_cell_angle_gamma 90.00
_symmetry_space_group_name_H-M 'P 1 2/m 1'
_symmetry_Int_Tables_number 10
_symmetry_space_group_name_Hall '-P 2y'
loop_
_atom_site_label
_atom_site_fract_x
_atom_site_fract_y
_atom_site_fract_z
Sm1 0.000 0.000 0.000
Sm2 0.167 0.500 0.833
Sm3 0.334 0.000 0.666
Y1 0.000 0.000 0.334
Y2 0.167 0.500 0.167
Y3 0.168 0.500 0.500
Y4 0.334 0.000 0.000
Y5 0.334 0.000 0.334
Y6 0.500 0.500 0.168
Er1 0.500 0.500 0.500
```

Top 10 peaks for 10 to 90 degrees two-theta, sorted by position:
2θ 11.65, I 7, (1 0 1)
2θ 30.56, I 100, (3 1 0)
2θ 35.43, I 50, (3 0 3)
2θ 50.98, I 35, (6 0 0)
2θ 60.60, I 35, (3 3 0)
2θ 60.67, I 7, (6 1 3)
2θ 63.61, I 12, (6 2 0)
2θ 83.06, I 11, (3 3 6)
2θ 83.14, I 6, (9 1 0)
2θ 85.71, I 10, (3 4 3)


Entry 2:
For YH8Ir2Au, a structure optimized by DFT (PBE) gives the computed X-ray powder pattern in this record (CuKα).
Neutral-atom scattering factors, no anomalous dispersion.

Structure:
```
data_YH8Ir2Au
_cell_length_a 8.828
_cell_length_b 4.187
_cell_length_c 6.064
_cell_angle_alpha 90.00
_cell_angle_beta 109.30
_cell_angle_gamma 90.00
_symmetry_space_group_name_H-M 'C 1 2/m 1'
_symmetry_Int_Tables_number 12
_symmetry_space_group_name_Hall '-C 2y'
loop_
_atom_site_label
_atom_site_fract_x
_atom_site_fract_y
_atom_site_fract_z
Y1 0.000 0.000 0.000
H1 0.086 0.500 0.129
H2 0.187 0.258 0.839
H3 0.215 0.000 0.379
Ir1 0.231 0.000 0.670
Au1 0.000 0.500 0.500
```

Top 10 peaks for 10 to 90 degrees two-theta, sorted by position:
2θ 15.48, I 53, (0 0 1)
2θ 30.42, I 100, (1 1 1)
2θ 31.54, I 39, (2 0 -2)
2θ 37.70, I 68, (3 1 -1)
2θ 42.52, I 22, (1 1 2)
2θ 42.96, I 12, (3 1 -2)
2θ 43.21, I 24, (0 2 0)
2θ 43.44, I 21, (4 0 0)
2θ 54.47, I 17, (2 2 -2)
2θ 62.94, I 14, (4 2 0)


Entry 3:
For BaLiN2F, a structure optimized by DFT (PBE) gives the computed X-ray powder pattern in this record (CuKα).
Neutral-atom scattering factors, no anomalous dispersion.

Structure:
```
data_BaLiN2F
_cell_length_a 4.208
_cell_length_b 4.208
_cell_length_c 4.180
_cell_angle_alpha 90.00
_cell_angle_beta 90.00
_cell_angle_gamma 90.00
_symmetry_space_group_name_H-M 'P 4/m m m'
_symmetry_Int_Tables_number 123
_symmetry_space_group_name_Hall '-P 4 2'
loop_
_atom_site_label
_atom_site_fract_x
_atom_site_fract_y
_atom_site_fract_z
Ba1 0.000 0.000 0.000
Li1 0.500 0.500 0.500
N1 0.000 0.500 0.500
F1 0.500 0.500 0.000
```

Top 10 peaks for 10 to 90 degrees two-theta, sorted by position:
2θ 21.12, I 78, (1 0 0)
2θ 21.25, I 47, (0 0 1)
2θ 30.04, I 49, (1 1 0)
2θ 30.14, I 80, (1 0 1)
2θ 37.09, I 100, (1 1 1)
2θ 42.99, I 36, (2 0 0)
2θ 48.41, I 41, (2 0 1)
2θ 53.40, I 33, (2 1 1)
2θ 62.65, I 22, (2 0 2)
2θ 74.90, I 22, (3 1 1)


Entry 4:
For Na3Sc3CrTe8, a structure optimized by DFT (PBE) gives the computed X-ray powder pattern in this record (CuKα).
Neutral-atom scattering factors, no anomalous dispersion.

Structure:
```
data_Na3Sc3CrTe8
_cell_length_a 8.1651
_cell_length_b 8.1651
_cell_length_c 23.5244
_cell_angle_alpha 90.00
_cell_angle_beta 90.00
_cell_angle_gamma 120.00
_symmetry_space_group_name_H-M 'R -3 m'
_symmetry_Int_Tables_number 166
_symmetry_space_group_name_Hall '-R 3 2"'
loop_
_atom_site_label
_atom_site_fract_x
_atom_site_fract_y
_atom_site_fract_z
Na1 0.0000 0.5000 0.0000
Sc1 0.0000 0.5000 0.5000
Cr1 0.0000 0.0000 0.5000
Te1 0.0000 0.0000 0.2402
Te2 0.0139 0.5070 0.2371
```

Top 10 peaks for 10 to 90 degrees two-theta, sorted by position:
2θ 11.28, I 27, (0 0 3)
2θ 22.68, I 17, (0 0 6)
2θ 26.32, I 46, (2 0 2)
2θ 29.48, I 100, (0 2 4)
2θ 36.90, I 14, (0 2 7)
2θ 39.88, I 35, (2 0 8)
2θ 44.38, I 34, (2 2 0)
2θ 50.40, I 12, (2 2 6)
2θ 54.18, I 17, (4 0 4)
2θ 72.54, I 13, (2 4 4)